Entry 1:
Ce3Tm2S8: simulated powder XRD pattern (Cu Kα), based on a structure optimized by DFT (GGA-PBE).
Lines closer than 0.1° are merged.

Cell and atoms:
```
data_Ce3Tm2S8
_cell_length_a 13.8358
_cell_length_b 8.1640
_cell_length_c 7.1162
_cell_angle_alpha 90.00
_cell_angle_beta 111.77
_cell_angle_gamma 90.00
_symmetry_space_group_name_H-M 'C 1 2/m 1'
_symmetry_Int_Tables_number 12
loop_
_symmetry_equiv_pos_as_xyz
'x,y,z'
'-x,-y,-z'
'-x,y,-z'
'x,-y,z'
'x+1/2,y+1/2,z'
'-x+1/2,-y+1/2,-z'
'-x+1/2,y+1/2,-z'
'x+1/2,-y+1/2,z'
loop_
_atom_site_label
_atom_site_type_symbol
_atom_site_fract_x
_atom_site_fract_y
_atom_site_fract_z
_atom_site_occupancy
Ce1 Ce 0.0000 0.0000 0.0000 1
Ce2 Ce 0.0000 0.2563 0.5000 1
Tm1 Tm 0.2435 0.5000 0.4621 1
S1 S 0.1191 0.0000 0.7445 1
S2 S 0.1299 0.2293 0.2787 1
S3 S 0.1322 0.5000 0.6920 1
```

Main lines, most intense first (15 to 90 degrees two-theta):
hkl 2 2 1, 2θ = 31.58°, d 2.833, I = 1000; hkl 2 2 0, 2θ = 25.89°, d 3.441, I = 526; hkl 4 0 -2, 2θ = 30.79°, d 2.904, I = 518; hkl 6 2 -1, 2θ = 45.21°, d 2.006, I = 367; hkl 2 2 -1, 2θ = 26.69°, d 3.340, I = 366; hkl 2 2 -3, 2θ = 44.17°, d 2.050, I = 314

***

Entry 2:
Ce2TmUS4: simulated powder XRD pattern (Cu Kα), based on a structure optimized by DFT (GGA-PBE).
Lines closer than 0.1° are merged.

Cell and atoms:
```
data_Ce2TmUS4
_cell_length_a 6.8254
_cell_length_b 3.9114
_cell_length_c 6.8447
_cell_angle_alpha 90.00
_cell_angle_beta 109.11
_cell_angle_gamma 90.00
_symmetry_space_group_name_H-M 'P 1 2/m 1'
_symmetry_Int_Tables_number 10
loop_
_symmetry_equiv_pos_as_xyz
'x,y,z'
'-x,-y,-z'
'-x,y,-z'
'x,-y,z'
loop_
_atom_site_label
_atom_site_type_symbol
_atom_site_fract_x
_atom_site_fract_y
_atom_site_fract_z
_atom_site_occupancy
Ce1 Ce 0.0000 0.0000 0.0000 1
Ce2 Ce 0.0000 0.5000 0.5000 1
Tm1 Tm 0.5000 0.0000 0.5000 1
U1 U 0.5000 0.5000 0.0000 1
S1 S 0.2622 0.0000 0.7504 1
S2 S 0.2646 0.5000 0.2583 1
```

Main lines, most intense first (15 to 90 degrees two-theta):
hkl 1 1 1, 2θ = 32.15°, d 2.784, I = 1000; hkl 2 0 0, 2θ = 27.62°, d 3.229, I = 435; hkl 1 1 -1, 2θ = 27.87°, d 3.201, I = 424; hkl 1 1 -3, 2θ = 46.06°, d 1.971, I = 243; hkl 3 1 -1, 2θ = 46.16°, d 1.967, I = 240; hkl 3 1 1, 2θ = 54.46°, d 1.685, I = 144

***

Entry 3:
Ce4Y3TmS8: simulated powder XRD pattern (Cu Kα), based on a structure optimized by DFT (GGA-PBE).
Lines closer than 0.1° are merged.

Cell and atoms:
```
data_Ce4Y3TmS8
_cell_length_a 7.8833
_cell_length_b 7.8833
_cell_length_c 19.6139
_cell_angle_alpha 90.00
_cell_angle_beta 90.00
_cell_angle_gamma 120.00
_symmetry_space_group_name_H-M 'R -3 m'
_symmetry_Int_Tables_number 166
_symmetry_space_group_name_Hall '-R 3 2"'
loop_
_atom_site_label
_atom_site_type_symbol
_atom_site_fract_x
_atom_site_fract_y
_atom_site_fract_z
_atom_site_occupancy
Ce1 Ce 0.0000 0.0000 0.0000 1
Ce2 Ce 0.0000 0.5000 0.0000 1
Y1 Y 0.0000 0.5000 0.5000 1
Tm1 Tm 0.0000 0.0000 0.5000 1
S1 S 0.0000 0.0000 0.2465 1
S2 S 0.0034 0.5017 0.2456 1
```

Main lines, most intense first (15 to 90 degrees two-theta):
hkl 0 2 4, 2θ = 31.94°, d 2.802, I = 1000; hkl 2 0 2, 2θ = 27.67°, d 3.224, I = 476; hkl 2 0 8, 2θ = 45.55°, d 1.991, I = 359; hkl 2 2 0, 2θ = 46.05°, d 1.971, I = 351; hkl 4 0 4, 2θ = 57.14°, d 1.612, I = 181; hkl 0 0 6, 2θ = 27.28°, d 3.269, I = 166

***

Entry 4:
CeU2S5: simulated powder XRD pattern (Cu Kα), based on a structure optimized by DFT (GGA-PBE).
Lines closer than 0.1° are merged.

Cell and atoms:
```
data_CeU2S5
_cell_length_a 11.8035
_cell_length_b 7.3987
_cell_length_c 7.9453
_cell_angle_alpha 90.00
_cell_angle_beta 90.00
_cell_angle_gamma 90.00
_symmetry_space_group_name_H-M 'P n a 21'
_symmetry_Int_Tables_number 33
loop_
_symmetry_equiv_pos_as_xyz
'x,y,z'
'-x,-y,z+1/2'
'-x+1/2,y+1/2,z+1/2'
'x+1/2,-y+1/2,z'
loop_
_atom_site_label
_atom_site_type_symbol
_atom_site_fract_x
_atom_site_fract_y
_atom_site_fract_z
_atom_site_occupancy
Ce1 Ce 0.1780 0.0258 0.0000 1
U1 U 0.0069 0.5738 0.2487 1
U2 U 0.1782 0.0211 0.4971 1
S1 S 0.9999 0.0398 0.7476 1
S2 S 0.0962 0.6674 0.5433 1
S3 S 0.1002 0.6601 0.9559 1
S4 S 0.1880 0.3301 0.2489 1
S5 S 0.2169 0.3009 0.7485 1
```

Main lines, most intense first (15 to 90 degrees two-theta):
hkl 3 1 0, 2θ = 25.64°, d 3.474, I = 1000; hkl 1 1 2, 2θ = 26.56°, d 3.356, I = 739; hkl 2 0 2, 2θ = 27.06°, d 3.296, I = 620; hkl 2 2 2, 2θ = 36.51°, d 2.461, I = 617; hkl 0 2 0, 2θ = 24.06°, d 3.699, I = 468; hkl 5 1 2, 2θ = 46.39°, d 1.957, I = 433

***

Entry 5:
Ce4US10: simulated powder XRD pattern (Cu Kα), based on a structure optimized by DFT (GGA-PBE).
Lines closer than 0.1° are merged.

Cell and atoms:
```
data_Ce4US10
_cell_length_a 10.3357
_cell_length_b 10.3357
_cell_length_c 6.5428
_cell_angle_alpha 90.00
_cell_angle_beta 90.00
_cell_angle_gamma 90.00
_symmetry_space_group_name_H-M 'I 4/m'
_symmetry_Int_Tables_number 87
_symmetry_space_group_name_Hall '-I 4'
loop_
_atom_site_label
_atom_site_type_symbol
_atom_site_fract_x
_atom_site_fract_y
_atom_site_fract_z
_atom_site_occupancy
Ce1 Ce 0.0993 0.6999 0.0000 1
U1 U 0.0000 0.0000 0.5000 1
S1 S 0.0000 0.5000 0.2500 1
S2 S 0.0989 0.1947 0.2560 1
```

Main lines, most intense first (15 to 90 degrees two-theta):
hkl 1 2 1, 2θ = 23.57°, d 3.775, I = 1000; hkl 3 1 2, 2θ = 38.96°, d 2.312, I = 806; hkl 5 0 1, 2θ = 46.04°, d 1.972, I = 508; hkl 5 5 2, 2θ = 70.56°, d 1.335, I = 271; hkl 5 0 3, 2θ = 61.85°, d 1.500, I = 211; hkl 8 1 3, 2θ = 88.45°, d 1.105, I = 167

***

Entry 6:
Ce10US16: simulated powder XRD pattern (Cu Kα), based on a structure optimized by DFT (GGA-PBE).
Lines closer than 0.1° are merged.

Cell and atoms:
```
data_Ce10US16
_cell_length_a 8.4918
_cell_length_b 8.4918
_cell_length_c 8.4840
_cell_angle_alpha 90.00
_cell_angle_beta 90.00
_cell_angle_gamma 90.00
_symmetry_space_group_name_H-M 'P -4'
_symmetry_Int_Tables_number 81
loop_
_symmetry_equiv_pos_as_xyz
'x,y,z'
'y,-x,-z'
'-x,-y,z'
'-y,x,-z'
loop_
_atom_site_label
_atom_site_type_symbol
_atom_site_fract_x
_atom_site_fract_y
_atom_site_fract_z
_atom_site_occupancy
Ce1 Ce 0.0000 0.5000 0.2429 1
Ce2 Ce 0.1323 0.7467 0.6191 1
Ce3 Ce 0.2559 0.3754 0.8603 1
U1 U 0.0000 0.0000 0.0000 1
S1 S 0.0679 0.6799 0.9469 1
S2 S 0.0743 0.8280 0.2953 1
S3 S 0.1688 0.4225 0.5417 1
S4 S 0.3186 0.4193 0.1852 1
```

Main lines, most intense first (15 to 90 degrees two-theta):
hkl 2 1 1, 2θ = 25.71°, d 3.466, I = 1000; hkl 1 3 0, 2θ = 33.38°, d 2.685, I = 993; hkl 1 2 3, 2θ = 39.73°, d 2.269, I = 614; hkl 4 0 2, 2θ = 47.92°, d 1.898, I = 399; hkl 1 6 1, 2θ = 68.08°, d 1.377, I = 361; hkl 4 3 1, 2θ = 55.17°, d 1.665, I = 302

***

Entry 7:
Ce2U2S5: simulated powder XRD pattern (Cu Kα), based on a structure optimized by DFT (GGA-PBE).
Lines closer than 0.1° are merged.

Cell and atoms:
```
data_Ce2U2S5
_cell_length_a 4.0763
_cell_length_b 4.0763
_cell_length_c 17.5249
_cell_angle_alpha 90.00
_cell_angle_beta 90.00
_cell_angle_gamma 120.00
_symmetry_space_group_name_H-M 'P -3 m 1'
_symmetry_Int_Tables_number 164
_symmetry_space_group_name_Hall '-P 3 2"'
loop_
_atom_site_label
_atom_site_type_symbol
_atom_site_fract_x
_atom_site_fract_y
_atom_site_fract_z
_atom_site_occupancy
Ce1 Ce 0.3333 0.6667 0.0922 1
U1 U 0.3333 0.6667 0.6668 1
S1 S 0.0000 0.0000 0.0000 1
S2 S 0.3333 0.6667 0.4043 1
S3 S 0.3333 0.6667 0.8186 1
```

Main lines, most intense first (15 to 90 degrees two-theta):
hkl 1 1 0, 2θ = 44.40°, d 2.040, I = 1000; hkl 0 1 2, 2θ = 27.23°, d 3.274, I = 962; hkl 0 1 5, 2θ = 36.11°, d 2.487, I = 504; hkl 1 0 0, 2θ = 25.23°, d 3.530, I = 423; hkl 0 0 3, 2θ = 15.17°, d 5.842, I = 422; hkl 1 0 3, 2θ = 29.57°, d 3.021, I = 421

***

Entry 8:
CeUS3: simulated powder XRD pattern (Cu Kα), based on a structure optimized by DFT (GGA-PBE).
Lines closer than 0.1° are merged.

Cell and atoms:
```
data_CeUS3
_cell_length_a 7.3774
_cell_length_b 3.9569
_cell_length_c 15.1780
_cell_angle_alpha 90.00
_cell_angle_beta 90.00
_cell_angle_gamma 90.00
_symmetry_space_group_name_H-M 'P n m a'
_symmetry_Int_Tables_number 62
loop_
_symmetry_equiv_pos_as_xyz
'x,y,z'
'-x,-y,-z'
'-x+1/2,-y,z+1/2'
'x+1/2,y,-z+1/2'
'x+1/2,-y+1/2,-z+1/2'
'-x+1/2,y+1/2,z+1/2'
'-x,y+1/2,-z'
'x,-y+1/2,z'
loop_
_atom_site_label
_atom_site_type_symbol
_atom_site_fract_x
_atom_site_fract_y
_atom_site_fract_z
_atom_site_occupancy
Ce1 Ce 0.1151 0.2500 0.2065 1
U1 U 0.2385 0.7500 0.4594 1
S1 S 0.0079 0.2500 0.3977 1
S2 S 0.1258 0.7500 0.0670 1
S3 S 0.1647 0.2500 0.7812 1
```

Main lines, most intense first (15 to 90 degrees two-theta):
hkl 1 1 1, 2θ = 26.22°, d 3.398, I = 1000; hkl 1 0 4, 2θ = 26.41°, d 3.374, I = 511; hkl 0 1 3, 2θ = 28.64°, d 3.117, I = 399; hkl 2 1 2, 2θ = 35.31°, d 2.542, I = 348; hkl 2 0 2, 2θ = 26.87°, d 3.318, I = 319; hkl 2 1 5, 2θ = 44.95°, d 2.016, I = 261

***

Entry 9:
Ce2US4: simulated powder XRD pattern (Cu Kα), based on a structure optimized by DFT (GGA-PBE).
Lines closer than 0.1° are merged.

Cell and atoms:
```
data_Ce2US4
_cell_length_a 3.8870
_cell_length_b 13.4228
_cell_length_c 13.0622
_cell_angle_alpha 90.00
_cell_angle_beta 90.00
_cell_angle_gamma 90.00
_symmetry_space_group_name_H-M 'C m c m'
_symmetry_Int_Tables_number 63
_symmetry_space_group_name_Hall '-C 2c 2'
loop_
_atom_site_label
_atom_site_type_symbol
_atom_site_fract_x
_atom_site_fract_y
_atom_site_fract_z
_atom_site_occupancy
Ce1 Ce 0.0000 0.1332 0.0698 1
U1 U 0.0000 0.3767 0.2500 1
S1 S 0.0000 0.0223 0.2500 1
S2 S 0.0000 0.2239 0.6283 1
S3 S 0.0000 0.5000 0.0000 1
```

Main lines, most intense first (15 to 90 degrees two-theta):
hkl 0 2 3, 2θ = 24.37°, d 3.653, I = 1000; hkl 1 3 2, 2θ = 33.48°, d 2.677, I = 528; hkl 1 3 1, 2θ = 31.24°, d 2.863, I = 413; hkl 1 1 1, 2θ = 24.80°, d 3.590, I = 349; hkl 1 1 5, 2θ = 42.22°, d 2.140, I = 310; hkl 1 1 2, 2θ = 27.52°, d 3.241, I = 302

***

Entry 10:
CeU4S8: simulated powder XRD pattern (Cu Kα), based on a structure optimized by DFT (GGA-PBE).
Lines closer than 0.1° are merged.

Cell and atoms:
```
data_CeU4S8
_cell_length_a 11.4468
_cell_length_b 11.4468
_cell_length_c 11.4468
_cell_angle_alpha 90.00
_cell_angle_beta 90.00
_cell_angle_gamma 90.00
_symmetry_space_group_name_H-M 'F -4 3 m'
_symmetry_Int_Tables_number 216
_symmetry_space_group_name_Hall 'F -4 2 3'
loop_
_atom_site_label
_atom_site_type_symbol
_atom_site_fract_x
_atom_site_fract_y
_atom_site_fract_z
_atom_site_occupancy
Ce1 Ce 0.0000 0.0000 0.0000 1
U1 U 0.1212 0.1212 0.3788 1
S1 S 0.1137 0.1137 0.6137 1
S2 S 0.1373 0.1373 0.1373 1
```

Main lines, most intense first (15 to 90 degrees two-theta):
hkl 3 1 1, 2θ = 25.81°, d 3.451, I = 1000; hkl 4 4 0, 2θ = 44.79°, d 2.024, I = 633; hkl 4 0 0, 2θ = 31.26°, d 2.862, I = 543; hkl 5 1 1, 2θ = 40.97°, d 2.203, I = 488; hkl 2 2 2, 2θ = 26.98°, d 3.304, I = 422; hkl 5 5 3, 2θ = 62.30°, d 1.490, I = 254

***

Entry 11:
CeVS2: simulated powder XRD pattern (Cu Kα), based on a structure optimized by DFT (GGA-PBE).
Lines closer than 0.1° are merged.

Cell and atoms:
```
data_CeVS2
_cell_length_a 3.8590
_cell_length_b 3.8590
_cell_length_c 17.2469
_cell_angle_alpha 90.00
_cell_angle_beta 90.00
_cell_angle_gamma 120.00
_symmetry_space_group_name_H-M 'R -3 m'
_symmetry_Int_Tables_number 166
_symmetry_space_group_name_Hall '-R 3 2"'
loop_
_atom_site_label
_atom_site_type_symbol
_atom_site_fract_x
_atom_site_fract_y
_atom_site_fract_z
_atom_site_occupancy
Ce1 Ce 0.0000 0.0000 0.0000 1
V1 V 0.0000 0.0000 0.5000 1
S1 S 0.0000 0.0000 0.2343 1
```

Main lines, most intense first (15 to 90 degrees two-theta):
hkl 1 0 4, 2θ = 33.94°, d 2.641, I = 1000; hkl 1 1 0, 2θ = 47.10°, d 1.929, I = 396; hkl 0 1 2, 2θ = 28.65°, d 3.116, I = 377; hkl 0 1 8, 2θ = 50.37°, d 1.812, I = 276; hkl 1 0 1, 2θ = 27.18°, d 3.281, I = 255; hkl 0 2 4, 2θ = 59.31°, d 1.558, I = 186

***

Entry 12:
Ce3Y5S8: simulated powder XRD pattern (Cu Kα), based on a structure optimized by DFT (GGA-PBE).
Lines closer than 0.1° are merged.

Cell and atoms:
```
data_Ce3Y5S8
_cell_length_a 7.9000
_cell_length_b 7.9000
_cell_length_c 19.4615
_cell_angle_alpha 90.00
_cell_angle_beta 90.00
_cell_angle_gamma 120.00
_symmetry_space_group_name_H-M 'R -3 m'
_symmetry_Int_Tables_number 166
_symmetry_space_group_name_Hall '-R 3 2"'
loop_
_atom_site_label
_atom_site_type_symbol
_atom_site_fract_x
_atom_site_fract_y
_atom_site_fract_z
_atom_site_occupancy
Ce1 Ce 0.0000 0.5000 0.0000 1
Y1 Y 0.0000 0.0000 0.0000 1
Y2 Y 0.0000 0.0000 0.5000 1
Y3 Y 0.0000 0.5000 0.5000 1
S1 S 0.0000 0.0000 0.2465 1
S2 S 0.0042 0.5021 0.7522 1
```

Main lines, most intense first (15 to 90 degrees two-theta):
hkl 0 2 4, 2θ = 31.98°, d 2.798, I = 1000; hkl 2 0 2, 2θ = 27.64°, d 3.227, I = 405; hkl 2 0 8, 2θ = 45.77°, d 1.983, I = 353; hkl 2 2 0, 2θ = 45.95°, d 1.975, I = 350; hkl 2 2 6, 2θ = 54.41°, d 1.686, I = 196; hkl 4 0 4, 2θ = 57.08°, d 1.614, I = 180